For SmHo5Er2, a GGA-PBE-relaxed structure gives the computed X-ray diffraction stick pattern in this record (Cu Kα).

Atomic structure:
```
SmHo5Er2
1.0
7.065 0.000 0.000
0.000 14.132 0.000
0.000 0.000 4.986
Sm Ho Er
2 10 4
Direct
0.000 0.000 0.000 Sm
0.500 0.500 0.000 Sm
0.000 0.500 0.000 Ho
0.001 0.251 0.000 Ho
0.249 0.626 0.500 Ho
0.251 0.126 0.500 Ho
0.499 0.751 0.000 Ho
0.500 0.000 0.000 Ho
0.501 0.249 0.000 Ho
0.749 0.874 0.500 Ho
0.751 0.374 0.500 Ho
0.999 0.749 0.000 Ho
0.250 0.374 0.500 Er
0.250 0.874 0.500 Er
0.750 0.126 0.500 Er
0.750 0.626 0.500 Er
```

Peak list (8 most intense, 10 to 80 degrees two-theta, in order of falling intensity)
two_theta  intensity
31.0  100
36.0  51
51.8  36
61.6  29
61.7  14
64.7  12
76.2  4
76.4  2

For SmHo4Er7, a GGA-PBE-relaxed structure gives the computed X-ray diffraction stick pattern in this record (Cu Kα).

Atomic structure:
```
SmHo4Er7
1.0
6.464 0.000 0.000
1.014 6.679 0.000
2.058 0.446 8.693
Sm Ho Er
1 4 7
Direct
0.000 0.000 0.000 Sm
0.164 0.614 0.313 Ho
0.361 0.195 0.712 Ho
0.639 0.805 0.288 Ho
0.836 0.386 0.687 Ho
0.000 0.500 0.000 Er
0.190 0.106 0.388 Er
0.317 0.703 0.643 Er
0.483 0.251 0.050 Er
0.517 0.749 0.950 Er
0.683 0.297 0.357 Er
0.810 0.894 0.612 Er
```

Peak list (10 most intense, 10 to 80 degrees two-theta, in order of falling intensity)
two_theta  intensity
32.6  100
32.1  73
32.0  59
31.4  47
30.9  43
33.1  22
43.8  20
57.7  19
47.0  15
56.7  15

For Sm4Ho5Er3, a GGA-PBE-relaxed structure gives the computed X-ray diffraction stick pattern in this record (Cu Kα).

Atomic structure:
```
Sm4Ho5Er3
1.0
8.013 -2.942 0.000
8.013 2.942 0.000
-4.169 0.000 8.316
Sm Ho Er
4 5 3
Direct
0.083 0.083 0.444 Sm
0.216 0.216 0.881 Sm
0.784 0.784 0.119 Sm
0.917 0.917 0.556 Sm
0.000 0.000 0.000 Ho
0.328 0.328 0.616 Ho
0.428 0.428 0.298 Ho
0.572 0.572 0.702 Ho
0.672 0.672 0.384 Ho
0.212 0.212 0.235 Er
0.500 0.500 0.000 Er
0.788 0.788 0.765 Er
```

Peak list (10 most intense, 10 to 80 degrees two-theta, in order of falling intensity)
two_theta  intensity
30.4  100
32.7  75
33.7  65
32.0  52
31.3  41
44.2  32
29.6  30
32.9  30
60.5  28
28.9  26